Structure and simulated X-ray powder pattern of Hf3AlS (a cell relaxed with GGA-PBE; Cu Kα X-rays).

Principal peaks in the range 10 to 90 degrees two-theta, low angle first:
- 20.16°, rel. 100
- 30.18°, rel. 52
- 31.03°, rel. 40
- 32.55°, rel. 72
- 33.06°, rel. 66
- 35.51°, rel. 38
- 36.89°, rel. 49
- 38.16°, rel. 69
- 41.74°, rel. 61
- 51.36°, rel. 39

Cell and atoms:
```
Hf3AlS
1.0
6.214 -2.358 0.000
6.214 2.358 0.000
-0.992 0.000 7.311
Hf Al S
6 2 2
Direct
0.045 0.045 0.312
0.161 0.161 0.977
0.289 0.289 0.363
0.711 0.711 0.637
0.839 0.839 0.023
0.955 0.955 0.688
0.363 0.363 0.806
0.637 0.637 0.194
0.150 0.150 0.626
0.850 0.850 0.374
```

---

Structure and simulated X-ray powder pattern of Ce3Ni3Pt5 (a cell relaxed with GGA-PBE; Cu Kα X-rays).

Principal peaks in the range 10 to 90 degrees two-theta, low angle first:
- 22.94°, rel. 31
- 31.70°, rel. 100
- 33.24°, rel. 48
- 37.85°, rel. 16
- 40.77°, rel. 66
- 43.99°, rel. 20
- 46.87°, rel. 22
- 51.90°, rel. 20
- 58.66°, rel. 19
- 64.53°, rel. 29

Cell and atoms:
```
Ce3Ni3Pt5
1.0
8.234 0.000 0.000
-4.117 7.131 0.000
0.000 0.000 3.877
Ce Ni Pt
3 3 5
Direct
0.000 0.315 0.000
0.315 0.000 0.000
0.685 0.685 0.000
0.000 0.516 0.500
0.484 0.484 0.500
0.516 0.000 0.500
0.000 0.810 0.500
0.190 0.190 0.500
0.333 0.667 0.500
0.667 0.333 0.500
0.810 0.000 0.500
```

---

Structure and simulated X-ray powder pattern of Nd2Dy5Ho4 (a cell relaxed with GGA-PBE; Cu Kα X-rays).

Principal peaks in the range 10 to 90 degrees two-theta, low angle first:
- 28.47°, rel. 35
- 28.65°, rel. 25
- 30.41°, rel. 46
- 30.78°, rel. 38
- 31.92°, rel. 66
- 32.66°, rel. 100
- 36.04°, rel. 34
- 37.38°, rel. 45
- 42.60°, rel. 35
- 61.82°, rel. 26

Cell and atoms:
```
Nd2Dy5Ho4
1.0
-1.746 4.512 11.621
1.746 -4.512 11.621
1.746 4.512 -11.621
Nd Dy Ho
2 5 4
Direct
0.232 0.232 0.000
0.768 0.768 0.000
0.163 0.358 0.805
0.446 0.642 0.805
0.500 0.000 0.500
0.554 0.358 0.195
0.837 0.642 0.195
0.097 0.097 0.000
0.190 0.500 0.690
0.810 0.500 0.310
0.903 0.903 0.000
```

---

Repeat the third record exactly.
Structure and simulated X-ray powder pattern of Nd2Dy5Ho4 (a cell relaxed with GGA-PBE; Cu Kα X-rays).

Principal peaks in the range 10 to 90 degrees two-theta, low angle first:
- 28.47°, rel. 35
- 28.65°, rel. 25
- 30.41°, rel. 46
- 30.78°, rel. 38
- 31.92°, rel. 66
- 32.66°, rel. 100
- 36.04°, rel. 34
- 37.38°, rel. 45
- 42.60°, rel. 35
- 61.82°, rel. 26

Cell and atoms:
```
Nd2Dy5Ho4
1.0
-1.746 4.512 11.621
1.746 -4.512 11.621
1.746 4.512 -11.621
Nd Dy Ho
2 5 4
Direct
0.232 0.232 0.000
0.768 0.768 0.000
0.163 0.358 0.805
0.446 0.642 0.805
0.500 0.000 0.500
0.554 0.358 0.195
0.837 0.642 0.195
0.097 0.097 0.000
0.190 0.500 0.690
0.810 0.500 0.310
0.903 0.903 0.000
```

---

Question: What is the formula in the first record?
Answer: Hf3AlS